Starting from a DFT-relaxed cell (GGA+U, Alexandria), the powder diffraction line list of CaLaMnNbO6 was simulated for Cu Kα X-rays.
Neutral-atom scattering factors, no anomalous dispersion.

Cell and atoms:
Lattice parameters (Å, degrees): 6.1783 6.3560 9.5232 90.00 129.92 90.00
Space group Pc (No. 7)
Asymmetric unit:
Ca (0.0000, 0.1486, 0.0000) x2
La (0.5017, 0.1418, 0.5007) x2
Mn (0.7694, 0.3159, 0.2480) x2
Nb (0.1821, 0.3033, 0.7505) x2
O (0.2860, 0.4206, 0.2508) x2
O (0.3852, 0.2250, 0.0098) x2
O (0.4474, 0.1146, 0.7590) x2
O (0.8544, 0.3741, 0.7503) x2
O (0.8811, 0.2257, 0.4926) x2
O (0.9771, 0.0587, 0.2439) x2

Most intense lines, 5 to 70 degrees two-theta, sorted by position:
2θ/deg, I/Imax, index
18.90, 385, 1 0 -2
28.18, 355, 0 1 2
28.90, 504, 2 0 -2
31.66, 1000, 1 1 1
31.86, 504, 1 1 -3
40.68, 285, 2 1 0